This entry pairs a crystal structure of Rb2Zr3MnO8 with its calculated XRD peak list. Radiation: Cu Kα X-rays. Structure: the GGA+U geometry in Alexandria.
Intensities are scaled so that the largest is 100.

Atomic structure:
Cell lengths 7.853, 7.853, 7.853 Å; angles 49.32, 49.32, 49.32 degrees
Positions (direct):
Rb 0.000 0.000 0.000
Rb 0.354 0.354 0.354
Zr 0.354 0.354 0.853
Zr 0.354 0.853 0.354
Zr 0.853 0.354 0.354
Mn 0.834 0.834 0.834
O 0.078 0.078 0.554
O 0.078 0.554 0.078
O 0.134 0.134 0.134
O 0.156 0.622 0.622
O 0.554 0.078 0.078
O 0.571 0.571 0.571
O 0.622 0.156 0.622
O 0.622 0.622 0.156

The 10 most intense peaks (2θ = 5–70°), in order of rising 2θ:
Position (°2θ)  I (rel.)
12.87  100
25.90  56
26.70  28
30.21  52
31.83  42
32.73  39
36.12  72
44.30  39
47.63  32
56.14  38